Theoretical powder diffractogram of Nd8In2Ir3 for Cu Kα, from a DFT-relaxed cell (PBE, Alexandria).
Neutral-atom scattering factors, no anomalous dispersion.

Crystal structure
Cell lengths 9.1183, 5.0812, 9.1273 Å; angles 90.00, 111.79, 90.00 degrees
Space group P2/m (No. 10)
Asymmetric unit:
1 Nd 0.1106 0.0000 0.3891 x2
2 Nd 0.1418 0.5000 0.8673 x2
3 Nd 0.3662 0.5000 0.6421 x2
4 Nd 0.3872 0.0000 0.1131 x2
5 In 0.2445 0.5000 0.2564 x2
6 Ir 0.2440 0.0000 0.7442 x2
7 Ir 0.5000 0.5000 0.0000 x1

Main lines, in order of falling intensity (10° ≤ 2θ ≤ 90°):
d 2.608, 2θ 34.4, intensity 100, hkl 3 1 -1; d 2.557, 2θ 35.1, intensity 25, hkl 2 0 2; d 2.541, 2θ 35.3, intensity 25, hkl 0 2 0; d 7.554, 2θ 11.7, intensity 24, hkl 1 0 -1; d 1.802, 2θ 50.6, intensity 18, hkl 2 2 2; d 1.479, 2θ 62.8, intensity 18, hkl 3 3 -1; d 1.486, 2θ 62.5, intensity 18, hkl 1 1 5; d 2.064, 2θ 43.9, intensity 11, hkl 4 1 -2; d 1.304, 2θ 72.5, intensity 9, hkl 2 2 -6; d 1.888, 2θ 48.2, intensity 9, hkl 4 0 -4